# Pd3Se2S
Computed powder XRD pattern, λ = 1.5418 Å (Cu Kα). Input: a structure optimized by DFT (PBE).
No peak broadening, texture or thermal motion is included.

Main lines, sorted by position (10 to 90 degrees two-theta):
Position (°2θ)  intensity
27.46  25
27.57  19
30.66  100
30.90  47
33.47  29
40.33  20
47.64  30
49.65  19
51.65  22
51.91  18

Structure:
a = 11.5767 Å, b = 11.5767 Å, c = 7.0457 Å
α = 90.00°, β = 90.00°, γ = 90.00°
Space group P4_2/mbc (No. 135)
Asymmetric unit:
Pd: 0.0459 0.1304 0.0000 x8
Pd: 0.1080 0.6080 0.2500 x8
Pd: 0.1398 0.2775 0.5000 x8
Se: 0.1132 0.8213 0.2214 x16
S: 0.0955 0.4045 0.2500 x8